Computed X-ray powder pattern of Cs2RbMnO4 for Cu Kα X-rays, from a cell relaxed with PBE+U.
No peak broadening, texture or thermal motion is included.

The 6 most intense peaks (10 to 80 degrees two-theta), by angle:
26.32 deg, d = 3.386 Å, intensity 28, hkl 0 0 2; 27.73 deg, d = 3.217 Å, intensity 29, hkl 2 0 0; 28.21 deg, d = 3.163 Å, intensity 100, hkl 1 2 1; 38.60 deg, d = 2.332 Å, intensity 26, hkl 2 0 2; 47.64 deg, d = 1.909 Å, intensity 20, hkl 1 2 3; 49.34 deg, d = 1.847 Å, intensity 21, hkl 3 2 1

Structure:
a = 6.4344 Å, b = 8.6091 Å, c = 6.7715 Å
α = 90.00°, β = 90.00°, γ = 90.00°
Fractional coordinates of all 16 atoms:
Cs1 0.2500 0.0059 0.2323
Cs2 0.2500 0.4941 0.2323
Cs3 0.7500 0.5059 0.7677
Cs4 0.7500 0.9941 0.7677
Rb1 0.2500 0.2500 0.7418
Rb2 0.7500 0.7500 0.2582
Mn1 0.2500 0.7500 0.8042
Mn2 0.7500 0.2500 0.1958
O1 0.0346 0.7500 0.9588
O2 0.2500 0.5827 0.6651
O3 0.2500 0.9173 0.6651
O4 0.4654 0.7500 0.9588
O5 0.5346 0.2500 0.0412
O6 0.7500 0.0827 0.3349
O7 0.7500 0.4173 0.3349
O8 0.9654 0.2500 0.0412